This entry pairs a crystal structure of LiNiP2O7 with its simulated powder diffraction line list. Radiation: copper Kα. Structure: a cell relaxed with PBE+U.
Intensities are scaled so that the largest is 100.

Structural model:
a = 6.8191 Å, b = 7.8842 Å, c = 9.4112 Å
α = 90.00°, β = 111.72°, γ = 90.00°
Element x y z (fractional)
Li1 0.1959 0.1261 0.0301
Li2 0.1959 0.3739 0.5301
Li3 0.8041 0.6261 0.4699
Li4 0.8041 0.8739 0.9699
Ni1 0.2731 0.7323 0.9982
Ni2 0.2731 0.7677 0.4982
Ni3 0.7269 0.2323 0.5018
Ni4 0.7269 0.2677 0.0018
P1 0.0466 0.5407 0.2020
P2 0.0466 0.9593 0.7020
P3 0.4581 0.0847 0.6992
P4 0.4581 0.4153 0.1992
P5 0.5419 0.5847 0.8008
P6 0.5419 0.9153 0.3008
P7 0.9534 0.0407 0.2980
P8 0.9534 0.4593 0.7980
O1 0.0495 0.6884 0.0980
O2 0.0495 0.8116 0.5980
O3 0.0844 0.5920 0.3703
O4 0.0844 0.9080 0.8703
O5 0.1595 0.5601 0.8522
O6 0.1595 0.9399 0.3522
O7 0.2258 0.0977 0.7107
O8 0.2258 0.4023 0.2107
O9 0.3828 0.5821 0.6325
O10 0.3828 0.9179 0.1325
O11 0.4688 0.2350 0.6016
O12 0.4688 0.2650 0.1016
O13 0.4749 0.5916 0.1363
O14 0.4749 0.9084 0.6363
O15 0.5251 0.0916 0.3637
O16 0.5251 0.4084 0.8637
O17 0.5312 0.7350 0.8984
O18 0.5312 0.7650 0.3984
O19 0.6172 0.0821 0.8675
O20 0.6172 0.4179 0.3675
O21 0.7742 0.5977 0.7893
O22 0.7742 0.9023 0.2893
O23 0.8405 0.0601 0.6478
O24 0.8405 0.4399 0.1478
O25 0.9156 0.0920 0.1297
O26 0.9156 0.4080 0.6297
O27 0.9505 0.1884 0.4020
O28 0.9505 0.3116 0.9020

Peak list (12 most intense, 2θ from 5° to 70°, sorted by position)
hkl 0 1 1, 15.1°, 5.855 Å, intensity 31; hkl 1 1 0, 18.0°, 4.939 Å, intensity 100; hkl 1 1 -2, 23.0°, 3.875 Å, intensity 32; hkl 1 2 -1, 26.6°, 3.350 Å, intensity 15; hkl 2 0 -2, 28.0°, 3.186 Å, intensity 60; hkl 1 2 1, 30.4°, 2.940 Å, intensity 19; hkl 0 2 2, 30.5°, 2.928 Å, intensity 76; hkl 1 1 2, 31.0°, 2.886 Å, intensity 38; hkl 2 2 0, 36.4°, 2.469 Å, intensity 17; hkl 3 1 -2, 41.6°, 2.169 Å, intensity 22; hkl 1 3 2, 45.2°, 2.005 Å, intensity 16; hkl 1 3 4, 60.9°, 1.521 Å, intensity 16

This entry pairs a crystal structure of LiNiP2O7 with its simulated powder diffraction line list. Radiation: copper Kα. Structure: a cell relaxed with PBE+U.
Intensities are scaled so that the largest is 100.

Structural model:
a = 7.1995 Å, b = 7.9876 Å, c = 9.4250 Å
α = 90.00°, β = 109.65°, γ = 90.00°
Element x y z (fractional)
Li1 0.1960 0.0270 0.2165
Li2 0.1960 0.4730 0.7165
Li3 0.8040 0.5270 0.2835
Li4 0.8040 0.9730 0.7835
Ni1 0.2396 0.0046 0.7517
Ni2 0.2396 0.4954 0.2517
Ni3 0.7604 0.5046 0.7483
Ni4 0.7604 0.9954 0.2483
P1 0.1704 0.7092 0.9514
P2 0.1704 0.7908 0.4514
P3 0.4158 0.2370 0.0452
P4 0.4158 0.2630 0.5452
P5 0.5842 0.7370 0.4548
P6 0.5842 0.7630 0.9548
P7 0.8296 0.2092 0.5486
P8 0.8296 0.2908 0.0486
O1 0.0476 0.5777 0.8433
O2 0.0476 0.9223 0.3433
O3 0.1202 0.6083 0.3992
O4 0.1202 0.8917 0.8992
O5 0.1856 0.7003 0.1170
O6 0.1856 0.7997 0.6170
O7 0.2889 0.1378 0.5929
O8 0.2889 0.3622 0.0929
O9 0.3095 0.2124 0.8755
O10 0.3095 0.2876 0.3755
O11 0.3828 0.6637 0.9354
O12 0.3828 0.8363 0.4354
O13 0.4648 0.0795 0.1434
O14 0.4648 0.4205 0.6434
O15 0.5352 0.5795 0.3566
O16 0.5352 0.9205 0.8566
O17 0.6172 0.1637 0.5646
O18 0.6172 0.3363 0.0646
O19 0.6905 0.7124 0.6245
O20 0.6905 0.7876 0.1245
O21 0.7111 0.6378 0.9071
O22 0.7111 0.8622 0.4071
O23 0.8144 0.2003 0.3830
O24 0.8144 0.2997 0.8830
O25 0.8798 0.1083 0.1008
O26 0.8798 0.3917 0.6008
O27 0.9524 0.0777 0.6567
O28 0.9524 0.4223 0.1567

Peak list (12 most intense, 2θ from 5° to 70°, sorted by position)
hkl 1 1 -1, 17.5°, 5.067 Å, intensity 100; hkl 1 1 1, 22.0°, 4.039 Å, intensity 33; hkl 0 1 2, 22.9°, 3.879 Å, intensity 24; hkl 2 0 0, 26.3°, 3.390 Å, intensity 19; hkl 2 1 0, 28.6°, 3.121 Å, intensity 38; hkl 2 1 -2, 29.5°, 3.033 Å, intensity 21; hkl 0 2 2, 30.1°, 2.969 Å, intensity 78; hkl 1 1 -3, 30.7°, 2.909 Å, intensity 23; hkl 0 1 4, 42.3°, 2.138 Å, intensity 10; hkl 3 1 1, 46.1°, 1.970 Å, intensity 12; hkl 4 0 -2, 50.8°, 1.798 Å, intensity 10; hkl 2 2 -6, 64.0°, 1.455 Å, intensity 12